Record 1
Computed powder diffractogram of LaTaP2SO12 for Cu Kα, 1.54184 Å, from a crystal structure in the Materials Project, relaxed with GGA-PBE.
No peak broadening, texture or thermal motion is included.

Cell and atoms:
Cell lengths 9.2503, 9.2503, 9.3436 Å; angles 120.28, 120.28, 60.24 degrees
Fractional coordinates of all 34 atoms:
La (0.2466, 0.7534, 0.5000)
La (0.7534, 0.2466, 0.0000)
Ta (0.0391, 0.5135, 0.7297)
Ta (0.5135, 0.0391, 0.2297)
P (0.1691, 0.8879, 0.9136)
P (0.3342, 0.3914, 0.0851)
P (0.3914, 0.3342, 0.5851)
P (0.8879, 0.1691, 0.4136)
S (0.6738, 0.8223, 0.8551)
S (0.8223, 0.6738, 0.3551)
O (0.0236, 0.0489, 0.9729)
O (0.0489, 0.0236, 0.4729)
O (0.1380, 0.7119, 0.8694)
O (0.1714, 0.3996, 0.9030)
O (0.1866, 0.8739, 0.7559)
O (0.2167, 0.3717, 0.6121)
O (0.2720, 0.5536, 0.2269)
O (0.3497, 0.9016, 0.0743)
O (0.3717, 0.2167, 0.1121)
O (0.3741, 0.4929, 0.5647)
O (0.3996, 0.1714, 0.4030)
O (0.4929, 0.3741, 0.0647)
O (0.5351, 0.7659, 0.6922)
O (0.5536, 0.2720, 0.7269)
O (0.6449, 0.8563, 0.0144)
O (0.6689, 0.8458, 0.3441)
O (0.6897, 0.9758, 0.8649)
O (0.7119, 0.1380, 0.3694)
O (0.7659, 0.5351, 0.1922)
O (0.8458, 0.6689, 0.8441)
O (0.8563, 0.6449, 0.5144)
O (0.8739, 0.1866, 0.2559)
O (0.9016, 0.3497, 0.5743)
O (0.9758, 0.6897, 0.3649)

Principal peaks in the range 2θ = 10–90°, in order of rising 2θ:
two_theta	I/Imax
13.4	16
19.0	24
19.2	100
22.4	14
27.1	29
27.4	14
33.3	17
33.5	29
33.6	12
43.5	17

Record 2
Computed powder diffractogram of La3TbP4O16 for Cu Kα, 1.54184 Å, from a crystal structure in the Materials Project, relaxed with GGA-PBE.
No peak broadening, texture or thermal motion is included.

Cell and atoms:
Cell lengths 6.4904, 6.8827, 7.0656 Å; angles 90.05, 90.54, 103.74 degrees
Fractional coordinates of all 24 atoms:
La (0.0000, 0.0000, 0.0000)
La (0.2010, 0.5663, 0.3189)
La (0.7000, 0.0648, 0.4997)
Tb (0.5074, 0.4896, 0.8155)
P (0.2131, 0.0901, 0.4982)
P (0.4880, 0.9797, 0.9928)
P (0.7102, 0.5854, 0.3213)
P (0.9898, 0.4799, 0.8238)
O (0.0424, 0.0317, 0.6525)
O (0.0998, 0.1662, 0.3277)
O (0.1036, 0.4024, 0.9932)
O (0.1659, 0.5346, 0.6729)
O (0.2917, 0.8156, 0.0527)
O (0.3127, 0.9144, 0.4459)
O (0.3959, 0.1613, 0.9405)
O (0.4051, 0.2605, 0.5600)
O (0.5429, 0.5330, 0.1588)
O (0.5949, 0.6557, 0.4935)
O (0.5984, 0.8948, 0.8267)
O (0.6588, 0.0355, 0.1513)
O (0.7917, 0.3121, 0.7648)
O (0.8105, 0.4097, 0.3724)
O (0.8817, 0.6523, 0.8710)
O (0.9029, 0.7572, 0.2681)

Principal peaks in the range 2θ = 10–90°, in order of rising 2θ:
two_theta	I/Imax
21.0	23
21.1	24
26.7	60
28.6	100
30.9	46
31.2	44
34.1	24
41.7	24
41.9	32
48.4	26

Record 3
Computed powder diffractogram of LaPd2O4 for Cu Kα, 1.54184 Å, from a crystal structure in the Materials Project, relaxed with GGA-PBE.
No peak broadening, texture or thermal motion is included.

Cell and atoms:
Cell lengths 6.7078, 6.7078, 6.7078 Å; angles 126.88, 126.88, 78.44 degrees
Fractional coordinates of all 14 atoms:
La (0.3750, 0.1250, 0.2500)
La (0.6250, 0.8750, 0.7500)
Pd (0.0000, 0.0000, 0.5000)
Pd (0.0000, 0.5000, 0.0000)
Pd (0.0000, 0.5000, 0.5000)
Pd (0.5000, 0.5000, 0.0000)
O (0.0213, 0.7193, 0.8932)
O (0.2193, 0.8261, 0.6980)
O (0.3261, 0.1281, 0.6068)
O (0.3719, 0.4787, 0.1980)
O (0.6281, 0.5213, 0.8020)
O (0.6739, 0.8719, 0.3932)
O (0.7807, 0.1739, 0.3020)
O (0.9787, 0.2807, 0.1068)

Principal peaks in the range 2θ = 10–90°, in order of rising 2θ:
two_theta	I/Imax
27.1	23
29.8	43
34.5	100
46.2	22
51.3	12
52.9	12
56.0	39
61.9	15
70.2	10
72.8	18